# 1
This entry pairs a crystal structure of Cs4Zn2SnGe with its calculated X-ray diffraction stick pattern. Radiation: Cu Kα (λ = 1.5418 Å). Structure: a cell relaxed with GGA-PBE.
Lines closer than 0.1° are merged.

Structure:
```
Cs4Zn2SnGe
1.0
6.903 0.000 0.000
0.000 11.876 0.000
0.000 0.000 8.232
Cs Zn Sn Ge
8 4 2 2
Direct
0.000 0.164 0.000
0.000 0.336 0.500
0.000 0.664 0.500
0.000 0.836 0.000
0.500 0.169 0.307
0.500 0.331 0.807
0.500 0.669 0.807
0.500 0.831 0.307
0.270 0.000 0.671
0.270 0.500 0.171
0.730 0.000 0.671
0.730 0.500 0.171
0.000 0.000 0.443
0.000 0.500 0.943
0.500 0.000 0.895
0.500 0.500 0.395
```

Top 6 peaks for 2θ = 10–90°, sorted by position:
2θ 24.96, d 3.568, intensity 39; 2θ 25.19, d 3.535, intensity 54; 2θ 25.81, d 3.452, intensity 27; 2θ 28.16, d 3.169, intensity 100; 2θ 46.99, d 1.934, intensity 24; 2θ 48.20, d 1.888, intensity 31

=====

# 2
This entry pairs a crystal structure of Cs2TmGe4 with its calculated X-ray diffraction stick pattern. Radiation: Cu Kα (λ = 1.5418 Å). Structure: a cell relaxed with GGA-PBE.
Lines closer than 0.1° are merged.

Structure:
```
Cs2TmGe4
1.0
4.434 0.000 0.000
-2.217 3.840 0.000
0.000 0.000 15.725
Cs Tm Ge
2 1 4
Direct
0.333 0.667 0.206
0.667 0.333 0.794
0.000 0.000 0.500
0.333 0.667 0.433
0.333 0.667 0.971
0.667 0.333 0.029
0.667 0.333 0.567
```

Top 6 peaks for 2θ = 10–90°, sorted by position:
2θ 11.25, d 7.863, intensity 31; 2θ 16.91, d 5.242, intensity 27; 2θ 23.85, d 3.731, intensity 100; 2θ 32.60, d 2.747, intensity 76; 2θ 36.94, d 2.433, intensity 45; 2θ 40.69, d 2.217, intensity 62

=====

# 3
This entry pairs a crystal structure of Cs6ZnGe8 with its calculated X-ray diffraction stick pattern. Radiation: Cu Kα (λ = 1.5418 Å). Structure: a cell relaxed with GGA-PBE.
Lines closer than 0.1° are merged.

Structure:
```
Cs6ZnGe8
1.0
0.000 11.809 6.297
11.137 0.000 6.297
11.137 11.809 0.000
Cs Zn Ge
18 3 24
Direct
0.000 0.000 0.000
0.078 0.705 0.922
0.145 0.483 0.517
0.183 0.817 0.183
0.240 0.893 0.398
0.245 0.522 0.096
0.331 0.331 0.669
0.411 0.705 0.589
0.483 0.145 0.855
0.522 0.245 0.136
0.531 0.602 0.107
0.602 0.531 0.760
0.705 0.078 0.295
0.705 0.411 0.295
0.817 0.183 0.817
0.864 0.904 0.478
0.893 0.240 0.469
0.904 0.864 0.755
0.040 0.373 0.960
0.373 0.040 0.627
0.702 0.702 0.298
0.017 0.291 0.168
0.072 0.576 0.740
0.111 0.147 0.077
0.147 0.111 0.666
0.190 0.217 0.449
0.217 0.190 0.144
0.260 0.388 0.928
0.291 0.017 0.523
0.334 0.923 0.853
0.388 0.260 0.424
0.477 0.832 0.709
0.488 0.675 0.325
0.525 0.885 0.115
0.551 0.856 0.810
0.576 0.072 0.612
0.613 0.919 0.201
0.675 0.488 0.512
0.733 0.799 0.081
0.799 0.733 0.387
0.832 0.477 0.983
0.856 0.551 0.783
0.885 0.525 0.475
0.919 0.613 0.267
0.923 0.334 0.889
```

Top 6 peaks for 2θ = 10–90°, sorted by position:
2θ 23.41, d 3.800, intensity 43; 2θ 23.97, d 3.712, intensity 58; 2θ 24.65, d 3.611, intensity 76; 2θ 30.94, d 2.890, intensity 100; 2θ 33.17, d 2.701, intensity 52; 2θ 49.21, d 1.852, intensity 39

=====

# 4
This entry pairs a crystal structure of Cs2Hg3H2I8O with its calculated X-ray diffraction stick pattern. Radiation: Cu Kα (λ = 1.5418 Å). Structure: a cell relaxed with GGA-PBE.
Lines closer than 0.1° are merged.

Structure:
```
Cs2Hg3H2I8O
1.0
3.822 -11.124 0.000
3.822 11.124 0.000
-2.405 0.000 7.533
Cs Hg H I O
2 3 2 8 1
Direct
0.124 0.876 0.000
0.876 0.124 0.000
0.163 0.552 0.632
0.247 0.247 0.556
0.552 0.163 0.632
0.698 0.698 0.787
0.834 0.834 0.676
0.149 0.765 0.495
0.311 0.700 0.998
0.354 0.550 0.439
0.369 0.369 0.924
0.550 0.354 0.439
0.700 0.311 0.998
0.765 0.149 0.495
0.890 0.890 0.332
0.829 0.829 0.799
```

Top 6 peaks for 2θ = 10–90°, sorted by position:
2θ 11.75, d 7.533, intensity 19; 2θ 12.79, d 6.921, intensity 19; 2θ 23.64, d 3.764, intensity 31; 2θ 24.51, d 3.633, intensity 100; 2θ 39.77, d 2.266, intensity 23; 2θ 40.82, d 2.211, intensity 21